No. 1
Calculated XRD peak list
Compound: RbSr2MgNb3O10
Radiation: Cu Kα
Structure: a structure optimized by DFT (GGA-PBE)

```
17
Lattice="4.0299 0.0000 0.0000 0.0000 4.0489 0.0000 0.0000 0.0000 17.0328" Properties=species:S:1:pos:R:3 pbc="T T T"
Rb 0.0000 0.0000 0.0000
Sr 0.0000 0.0000 4.6072
Sr 0.0000 0.0000 8.9466
Mg 2.0149 0.0000 13.2477
Nb 2.0149 2.0244 2.5470
Nb 2.0149 2.0244 6.8344
Nb 2.0149 2.0244 11.0052
O 0.0000 2.0244 2.8904
O 0.0000 2.0244 6.9146
O 0.0000 2.0244 10.6887
O 2.0149 0.0000 2.8684
O 2.0149 0.0000 6.8833
O 2.0149 0.0000 11.0865
O 2.0149 2.0244 0.7168
O 2.0149 2.0244 4.8645
O 2.0149 2.0244 8.8839
O 2.0149 2.0244 12.9923
```

Principal peaks in the range 15 to 90 degrees two-theta, by angle:
Position (°2θ)  Rel. int.
24.4  17
27.1  29
30.5  100
31.3  50
42.5  18
44.8  20
45.0  22
53.7  19
55.2  17
55.3  21
63.6  10
65.3  12

=====

No. 2
Calculated XRD peak list
Compound: InSiPt5
Radiation: Cu Kα
Structure: a structure optimized by DFT (GGA-PBE)

```
7
Lattice="4.0008 0.0000 0.0000 0.0000 4.0008 0.0000 0.0000 0.0000 7.1477" Properties=species:S:1:pos:R:3 pbc="T T T"
In 0.0000 0.0000 0.0000
Si 2.0004 2.0004 3.5738
Pt 0.0000 2.0004 2.1221
Pt 0.0000 2.0004 5.0255
Pt 2.0004 0.0000 2.1221
Pt 2.0004 0.0000 5.0255
Pt 2.0004 2.0004 0.0000
```

Principal peaks in the range 15 to 90 degrees two-theta, by angle:
Position (°2θ)  Rel. int.
31.6  19
34.1  43
37.8  25
40.7  100
45.3  47
60.4  25
66.1  16
70.7  8
74.3  20
76.5  8
78.7  12
80.5  28

=====

No. 3
Calculated XRD peak list
Compound: NaAl11O17
Radiation: Cu Kα
Structure: a structure optimized by DFT (GGA-PBE)

```
58
Lattice="5.6519 0.0000 0.0000 -2.8259 4.8947 0.0000 0.0000 0.0000 22.7823" Properties=species:S:1:pos:R:3 pbc="T T T"
Na 0.0000 3.2631 5.6956
Na 2.8259 1.6316 17.0867
Al 0.0000 0.0000 0.0000
Al 0.0000 0.0000 11.3912
Al 0.0000 1.6399 2.4361
Al 0.0000 1.6399 8.9550
Al -1.4058 4.0747 2.4361
Al -1.4058 4.0747 8.9550
Al 0.0000 3.2631 11.9534
Al 0.0000 3.2631 15.3898
Al 0.0000 3.2631 18.7837
Al 0.0000 3.2631 22.2200
Al 1.4202 0.8199 13.8273
Al 1.4202 0.8199 20.3462
Al 1.4058 4.0747 2.4361
Al 1.4058 4.0747 8.9550
Al 2.8259 1.6316 0.5623
Al 2.8259 1.6316 3.9986
Al 2.8259 1.6316 7.3925
Al 2.8259 1.6316 10.8289
Al 4.2317 0.8199 13.8273
Al 4.2317 0.8199 20.3462
Al 2.8259 3.2548 13.8273
Al 2.8259 3.2548 20.3462
O 0.0000 0.0000 3.2210
O 0.0000 0.0000 8.1702
O 0.0000 0.0000 14.6121
O 0.0000 0.0000 19.5614
O -1.3845 2.4637 3.3310
O -1.3845 2.4637 8.0602
O 0.0000 1.5401 12.5250
O 0.0000 1.5401 21.6484
O -1.4921 4.1246 12.5250
O -1.4921 4.1246 21.6484
O 1.3338 0.7701 1.1339
O 1.3338 0.7701 10.2573
O 0.0000 3.2631 1.2666
O 0.0000 3.2631 10.1246
O 0.0000 3.2631 17.0867
O 1.3845 2.4637 3.3310
O 1.3845 2.4637 8.0602
O 0.0000 4.8618 3.3310
O 0.0000 4.8618 8.0602
O 2.8259 0.0328 14.7222
O 2.8259 0.0328 19.4513
O 1.4414 2.4309 14.7222
O 1.4414 2.4309 19.4513
O 2.8259 1.6316 5.6956
O 2.8259 1.6316 12.6578
O 2.8259 1.6316 21.5157
O 1.4921 4.1246 12.5250
O 1.4921 4.1246 21.6484
O 4.3181 0.7701 1.1339
O 4.3181 0.7701 10.2573
O 2.8259 3.3545 1.1339
O 2.8259 3.3545 10.2573
O 4.2105 2.4309 14.7222
O 4.2105 2.4309 19.4513
```

Principal peaks in the range 15 to 90 degrees two-theta, by angle:
Position (°2θ)  Rel. int.
15.6  100
19.7  52
31.7  41
33.1  96
35.5  73
41.9  50
44.0  54
57.3  42
58.4  34
65.5  36
66.1  85
69.3  39

=====

No. 4
Calculated XRD peak list
Compound: TmAlGa
Radiation: Cu Kα
Structure: a structure optimized by DFT (GGA-PBE)

```
6
Lattice="5.2618 -2.1625 0.0000 5.2618 2.1625 0.0000 -4.4096 0.0000 5.2998" Properties=species:S:1:pos:R:3 pbc="T T T"
Tm -0.8257 0.0000 1.5928
Tm 6.9397 0.0000 3.7069
Al -0.3596 0.0000 4.6884
Al 6.4736 0.0000 0.6113
Ga 2.2528 0.0000 1.5464
Ga 3.8612 0.0000 3.7534
```

Principal peaks in the range 15 to 90 degrees two-theta, by angle:
Position (°2θ)  Rel. int.
22.0  27
23.3  65
32.8  49
33.2  21
33.8  42
34.5  27
34.9  66
35.3  100
36.0  27
39.4  61
41.8  44
54.8  21

=====

No. 5
Calculated XRD peak list
Compound: TcO2
Radiation: Cu Kα
Structure: a structure optimized by DFT (GGA-PBE)

```
12
Lattice="5.5328 0.0000 0.0000 0.0000 4.8134 0.0000 -2.6363 0.0000 4.9273" Properties=species:S:1:pos:R:3 pbc="T T T"
Tc 0.7196 0.0234 1.0832
Tc -0.5986 2.3833 3.5468
Tc 3.4950 2.4301 1.3804
Tc 2.1769 4.7900 3.8441
O -0.3973 3.4323 1.8536
O -1.7154 3.7878 4.3172
O 0.6351 0.9206 2.8913
O 1.9532 1.4861 0.4277
O 0.9432 3.3273 4.4996
O 2.2614 3.8928 2.0360
O 4.6119 1.0256 0.6100
O 3.2938 1.3811 3.0736
```

Principal peaks in the range 15 to 90 degrees two-theta, by angle:
Position (°2θ)  Rel. int.
26.3  100
36.5  44
36.8  16
37.4  10
37.7  9
53.2  24
53.5  14
53.8  14
54.1  17
60.9  8
61.4  7
66.9  9

=====

> Number 1 is which compound?

RbSr2MgNb3O10

=====

> Which formula does entry 2 have?

InSiPt5